Calculated PXRD pattern
Compound: Li2PbF4
Radiation: λ = 1.5418 Å (Cu Kα)
Structure: the GGA-PBE geometry in Alexandria

Atomic structure:
Cell: 7.8494 7.8494 6.2661 Å, 90.00 90.00 90.00°
Space group I-42d (No. 122)
Unique sites:
Li 0.0719 0.2500 0.1250 (multiplicity 8)
Pb 0.0000 0.0000 0.5000 (multiplicity 4)
F 0.0452 0.7005 0.3943 (multiplicity 16)

The 10 most intense peaks (10° ≤ 2θ ≤ 80°), low angle first:
d [Å]	Position (°2θ)	I/Imax
4.897	18.11	100.0
3.925	22.66	72.0
3.063	29.16	69.2
2.728	32.83	56.1
2.414	37.24	31.6
2.056	44.03	35.9
2.018	44.91	17.7
1.946	46.69	47.6
1.822	50.08	16.4
1.755	52.11	16.6